Starting from a DFT-relaxed cell (GGA-PBE, OQMD), the powder X-ray diffraction pattern of Hf3Al3CuIr2 was simulated for λ = 1.5418 Å (Cu Kα).
Peak positions follow from Bragg's law for the DFT cell and can differ from measured ones.

Structure:
```
Hf3Al3CuIr2
1.0
7.1152 0.0000 0.0000
-3.5576 6.1620 0.0000
0.0000 0.0000 3.4510
Hf Al Cu Ir
3 3 1 2
Direct
0.0000 0.5956 0.0000
0.4044 0.4044 0.0000
0.5956 0.0000 0.0000
0.0000 0.2546 0.5000
0.2546 0.0000 0.5000
0.7454 0.7454 0.5000
0.0000 0.0000 0.0000
0.3333 0.6667 0.5000
0.6667 0.3333 0.5000
```

Main lines, in order of falling intensity (5 to 70 degrees two-theta):
2theta  I/Imax
36.27  1000
39.20  648
14.37  452
25.03  390
44.09  364
38.66  229
47.07  206
53.63  200

=====

Starting from a DFT-relaxed cell (GGA-PBE, OQMD), the powder X-ray diffraction pattern of Li2HfAl2CuPt2 was simulated for λ = 1.5418 Å (Cu Kα).
Peak positions follow from Bragg's law for the DFT cell and can differ from measured ones.

Structure:
```
Li2HfAl2CuPt2
1.0
4.0617 0.0000 0.0000
0.0000 4.0617 0.0000
0.0000 0.0000 7.0429
Li Hf Al Cu Pt
2 1 2 1 2
Direct
0.0000 0.5000 0.2225
0.5000 0.0000 0.7775
0.0000 0.0000 0.5000
0.0000 0.5000 0.7839
0.5000 0.0000 0.2161
0.5000 0.5000 0.0000
0.0000 0.0000 0.0000
0.5000 0.5000 0.5000
```

Main lines, in order of falling intensity (5 to 70 degrees two-theta):
2theta  I/Imax
40.53  1000
25.30  736
31.14  683
51.97  499
44.62  420
61.80  211
64.93  150
33.69  90

=====

Starting from a DFT-relaxed cell (GGA-PBE, OQMD), the powder X-ray diffraction pattern of Hf4AlCuN2 was simulated for λ = 1.5418 Å (Cu Kα).
Peak positions follow from Bragg's law for the DFT cell and can differ from measured ones.

Structure:
```
Hf4AlCuN2
1.0
3.1993 0.0000 0.0000
-1.5997 2.7707 0.0000
0.0000 0.0000 13.8473
Hf Al Cu N
4 1 1 2
Direct
0.0000 0.0000 0.1516
0.0000 0.0000 0.8484
0.6667 0.3333 0.3354
0.6667 0.3333 0.6646
0.0000 0.0000 0.5000
0.6667 0.3333 0.0000
0.3333 0.6667 0.2429
0.3333 0.6667 0.7571
```

Main lines, in order of falling intensity (5 to 70 degrees two-theta):
2theta  I/Imax
37.87  1000
32.31  235
12.79  227
57.62  215
32.97  196
39.03  171
51.54  144
69.94  125

=====

Starting from a DFT-relaxed cell (GGA-PBE, OQMD), the powder X-ray diffraction pattern of HfAlCuNi was simulated for λ = 1.5418 Å (Cu Kα).
Peak positions follow from Bragg's law for the DFT cell and can differ from measured ones.

Structure:
```
HfAlCuNi
1.0
4.1471 0.0000 0.0000
-2.0736 3.5915 0.0000
0.0000 0.0000 7.9718
Hf Al Cu Ni
2 2 2 2
Direct
0.3333 0.6667 0.2600
0.6667 0.3333 0.7400
0.0000 0.0000 0.0000
0.0000 0.0000 0.5000
0.3333 0.6667 0.9117
0.6667 0.3333 0.0883
0.3333 0.6667 0.5851
0.6667 0.3333 0.4149
```

Main lines, in order of falling intensity (5 to 70 degrees two-theta):
2theta  I/Imax
42.31  1000
43.65  733
24.79  476
27.23  378
62.41  306
33.59  199
22.30  85
49.55  69

=====

Starting from a DFT-relaxed cell (GGA-PBE, OQMD), the powder X-ray diffraction pattern of HfZrAl2Cu2Pd2 was simulated for λ = 1.5418 Å (Cu Kα).
Peak positions follow from Bragg's law for the DFT cell and can differ from measured ones.

Structure:
```
HfZrAl2Cu2Pd2
1.0
4.4791 0.0000 0.0000
0.0000 4.4791 0.0000
0.0000 0.0000 6.3479
Hf Zr Al Cu Pd
1 1 2 2 2
Direct
0.0000 0.0000 0.0000
0.5000 0.5000 0.5000
0.0000 0.0000 0.5000
0.5000 0.5000 0.0000
0.0000 0.5000 0.7536
0.5000 0.0000 0.2464
0.0000 0.5000 0.2442
0.5000 0.0000 0.7558
```

Main lines, in order of falling intensity (5 to 70 degrees two-theta):
2theta  I/Imax
40.24  1000
24.32  284
47.58  142
58.26  110
64.03  59
58.13  55
13.95  40
19.82  28

=====

Starting from a DFT-relaxed cell (GGA-PBE, OQMD), the powder X-ray diffraction pattern of HfZrAl2Cu2 was simulated for λ = 1.5418 Å (Cu Kα).
Peak positions follow from Bragg's law for the DFT cell and can differ from measured ones.

Structure:
```
HfZrAl2Cu2
1.0
8.4925 0.0000 0.0000
0.0000 4.2448 0.0000
-4.2445 0.0000 12.0081
Hf Zr Al Cu
4 4 8 8
Direct
0.0000 0.0000 0.0000
0.1252 0.5000 0.7504
0.2501 0.0000 0.5004
0.4995 0.0000 0.9997
0.3747 0.5000 0.2497
0.6247 0.5000 0.7500
0.7498 0.0000 0.5000
0.8748 0.5000 0.2500
0.0013 0.5000 0.5007
0.1246 0.0000 0.2496
0.2493 0.5000 0.9991
0.3738 0.0000 0.7501
0.4989 0.5000 0.5005
0.6246 0.0000 0.2494
0.7499 0.5000 0.0000
0.8765 0.0000 0.7511
0.0616 0.5000 0.1233
0.1875 0.0000 0.8752
0.3105 0.5000 0.6247
0.4360 0.0000 0.3758
0.5613 0.5000 0.1232
0.6880 0.0000 0.8765
0.8146 0.5000 0.6261
0.9395 0.0000 0.3759
```

Main lines, in order of falling intensity (5 to 70 degrees two-theta):
2theta  I/Imax
42.59  1000
25.70  791
50.41  375
29.76  213
61.81  161
68.07  148
52.82  59
7.36  39

=====

Starting from a DFT-relaxed cell (GGA-PBE, OQMD), the powder X-ray diffraction pattern of AlCuHgMo was simulated for λ = 1.5418 Å (Cu Kα).
Peak positions follow from Bragg's law for the DFT cell and can differ from measured ones.

Structure:
```
AlCuHgMo
1.0
6.3972 0.0000 0.0000
0.0000 6.3972 0.0000
0.0000 0.0000 6.3972
Al Cu Hg Mo
4 4 4 4
Direct
0.0000 0.0000 0.0000
0.0000 0.5000 0.5000
0.5000 0.0000 0.5000
0.5000 0.5000 0.0000
0.2500 0.2500 0.2500
0.2500 0.7500 0.7500
0.7500 0.2500 0.7500
0.7500 0.7500 0.2500
0.0000 0.0000 0.5000
0.0000 0.5000 0.0000
0.5000 0.0000 0.0000
0.5000 0.5000 0.5000
0.2500 0.2500 0.7500
0.2500 0.7500 0.2500
0.7500 0.2500 0.2500
0.7500 0.7500 0.7500
```

Main lines, in order of falling intensity (5 to 70 degrees two-theta):
2theta  I/Imax
39.86  1000
24.10  476
47.12  252
57.64  167
63.37  106
27.89  28
65.22  15
49.35  10

=====

Starting from a DFT-relaxed cell (GGA-PBE, OQMD), the powder X-ray diffraction pattern of HoLu2Al7Cu2 was simulated for λ = 1.5418 Å (Cu Kα).
Peak positions follow from Bragg's law for the DFT cell and can differ from measured ones.

Structure:
```
HoLu2Al7Cu2
1.0
2.7174 1.5689 8.4189
-2.7174 1.5689 8.4189
0.0000 -3.1377 8.4189
Ho Lu Al Cu
1 2 7 2
Direct
0.0000 0.0000 0.0000
0.1423 0.1423 0.1423
0.8577 0.8577 0.8577
0.0733 0.5824 0.5824
0.4176 0.4176 0.9267
0.4176 0.9267 0.4176
0.5000 0.5000 0.5000
0.5824 0.0733 0.5824
0.5824 0.5824 0.0733
0.9267 0.4176 0.4176
0.3351 0.3351 0.3351
0.6649 0.6649 0.6649
```

Main lines, in order of falling intensity (5 to 70 degrees two-theta):
2theta  I/Imax
39.47  1000
32.96  900
31.24  549
19.18  471
21.11  329
34.20  326
38.42  277
65.17  271

=====

Starting from a DFT-relaxed cell (GGA-PBE, OQMD), the powder X-ray diffraction pattern of Ho3Al3CuNi2 was simulated for λ = 1.5418 Å (Cu Kα).
Peak positions follow from Bragg's law for the DFT cell and can differ from measured ones.

Structure:
```
Ho3Al3CuNi2
1.0
6.9300 0.0000 0.0000
-3.4650 6.0016 0.0000
0.0000 0.0000 3.9091
Ho Al Cu Ni
3 3 1 2
Direct
0.0000 0.4191 0.0000
0.4191 0.0000 0.0000
0.5809 0.5809 0.0000
0.0000 0.7590 0.5000
0.2410 0.2410 0.5000
0.7590 0.0000 0.5000
0.0000 0.0000 0.0000
0.3333 0.6667 0.5000
0.6667 0.3333 0.5000
```

Main lines, in order of falling intensity (5 to 70 degrees two-theta):
2theta  I/Imax
37.79  1000
34.59  918
29.77  371
60.45  352
25.71  335
39.74  303
22.75  291
55.18  252

=====

Starting from a DFT-relaxed cell (GGA-PBE, OQMD), the powder X-ray diffraction pattern of TbHoAl4Cu2 was simulated for λ = 1.5418 Å (Cu Kα).
Peak positions follow from Bragg's law for the DFT cell and can differ from measured ones.

Structure:
```
TbHoAl4Cu2
1.0
6.7774 0.0000 0.0000
0.0000 4.2243 0.0000
0.0000 0.0000 10.1019
Tb Ho Al Cu
2 2 8 4
Direct
0.0000 0.0000 0.0000
0.0000 0.5000 0.5000
0.5000 0.0000 0.8547
0.5000 0.5000 0.3547
0.1971 0.0000 0.2888
0.1971 0.5000 0.7888
0.3038 0.0000 0.5663
0.3038 0.5000 0.0663
0.6962 0.0000 0.5663
0.6962 0.5000 0.0663
0.8029 0.0000 0.2888
0.8029 0.5000 0.7888
0.0000 0.0000 0.7158
0.0000 0.5000 0.2158
0.5000 0.0000 0.1387
0.5000 0.5000 0.6387
```

Main lines, in order of falling intensity (5 to 70 degrees two-theta):
2theta  I/Imax
36.61  1000
35.09  834
22.82  547
38.02  453
26.30  449
42.81  272
58.58  252
53.44  244

=====

Starting from a DFT-relaxed cell (GGA-PBE, OQMD), the powder X-ray diffraction pattern of AlInCu2 was simulated for λ = 1.5418 Å (Cu Kα).
Peak positions follow from Bragg's law for the DFT cell and can differ from measured ones.

Structure:
```
AlInCu2
1.0
6.2645 0.0000 0.0000
0.0000 6.2645 0.0000
0.0000 0.0000 6.2645
Al In Cu
4 4 8
Direct
0.0000 0.0000 0.0000
0.0000 0.0000 0.5000
0.0000 0.5000 0.0000
0.5000 0.0000 0.0000
0.0000 0.5000 0.5000
0.5000 0.0000 0.5000
0.5000 0.5000 0.0000
0.5000 0.5000 0.5000
0.2290 0.2290 0.2290
0.2290 0.2290 0.7710
0.2290 0.7710 0.2290
0.2290 0.7710 0.7710
0.7710 0.2290 0.2290
0.7710 0.2290 0.7710
0.7710 0.7710 0.2290
0.7710 0.7710 0.7710
```

Main lines, in order of falling intensity (5 to 70 degrees two-theta):
2theta  I/Imax
40.74  1000
31.95  206
58.98  149
60.98  75
43.33  72
24.61  69
14.14  61
68.66  39

=====

Starting from a DFT-relaxed cell (GGA-PBE, OQMD), the powder X-ray diffraction pattern of Li2Mg2AlInCu2 was simulated for λ = 1.5418 Å (Cu Kα).
Peak positions follow from Bragg's law for the DFT cell and can differ from measured ones.

Structure:
```
Li2Mg2AlInCu2
1.0
4.4397 0.0000 0.0000
0.0000 4.4397 0.0000
0.0000 0.0000 6.2698
Li Mg Al In Cu
2 2 1 1 2
Direct
0.0000 0.5000 0.2417
0.5000 0.0000 0.7583
0.0000 0.0000 0.5000
0.5000 0.5000 0.0000
0.0000 0.0000 0.0000
0.5000 0.5000 0.5000
0.0000 0.5000 0.7691
0.5000 0.0000 0.2309
```

Main lines, in order of falling intensity (5 to 70 degrees two-theta):
2theta  I/Imax
40.66  1000
24.57  544
48.08  249
58.86  158
20.00  141
31.88  128
14.13  98
64.75  94

=====

Starting from a DFT-relaxed cell (GGA-PBE, OQMD), the powder X-ray diffraction pattern of AlInCu2Se2S2 was simulated for λ = 1.5418 Å (Cu Kα).
Peak positions follow from Bragg's law for the DFT cell and can differ from measured ones.

Structure:
```
AlInCu2Se2S2
1.0
5.5932 0.0000 0.0000
-0.0013 5.5980 0.0000
-2.7622 -2.7857 5.5706
Al In Cu Se S
1 1 2 2 2
Direct
0.0000 0.0000 0.0000
0.2374 0.7333 0.5002
0.4999 0.4576 0.0001
0.7766 0.2319 0.4998
0.3847 0.8688 0.2353
0.6510 0.6012 0.7641
0.1165 0.1289 0.7659
0.8576 0.3336 0.2345
```

Main lines, in order of falling intensity (5 to 70 degrees two-theta):
2theta  I/Imax
27.71  1000
27.60  944
45.87  885
54.35  338
54.50  314
46.14  218
46.03  218
17.72  198

=====

Starting from a DFT-relaxed cell (GGA-PBE, OQMD), the powder X-ray diffraction pattern of AlInCu2Se2S2 was simulated for λ = 1.5418 Å (Cu Kα).
Peak positions follow from Bragg's law for the DFT cell and can differ from measured ones.

Structure:
```
AlInCu2Se2S2
1.0
7.8812 0.0000 0.0000
0.0000 11.1386 0.0000
-3.9306 0.0000 3.9674
Al In Cu Se S
2 2 4 4 4
Direct
0.0000 0.0000 0.0000
0.5000 0.5000 0.0000
0.0000 0.2579 0.5000
0.5000 0.7579 0.5000
0.0000 0.4928 0.0000
0.0000 0.7707 0.5000
0.5000 0.2707 0.5000
0.5000 0.9928 0.0000
0.2298 0.6224 0.4983
0.2702 0.1224 0.5017
0.7298 0.1224 0.4983
0.7702 0.6224 0.5017
0.2328 0.8874 0.9760
0.2672 0.3874 0.0240
0.7328 0.3874 0.9760
0.7672 0.8874 0.0240
```

Main lines, in order of falling intensity (5 to 70 degrees two-theta):
2theta  I/Imax
46.01  1000
27.73  940
27.61  860
54.54  248
45.74  217
54.63  204
22.41  189
35.94  183